Record 1
Calculated powder X-ray diffraction pattern of BaZnSb2 for Cu Kα (λ = 1.5418 Å), from a DFT-relaxed cell (GGA-PBE, the Materials Project).
Lines closer than 0.1° are merged.

abc: 4.5280 4.5280 24.3262
angles: 90.00 90.00 90.00
Space group I4/mmm (No. 139)
Asymmetric unit:
Ba1 0.0000 0.0000 0.1166 [4 per cell]
Zn1 0.0000 0.5000 0.2500 [4 per cell]
Sb1 0.0000 0.0000 0.3177 [4 per cell]
Sb2 0.0000 0.5000 0.0000 [4 per cell]

Most intense lines, 10 to 80 degrees two-theta, by angle:
- 26.90 deg, d 3.315, intensity 627
- 31.58 deg, d 2.833, intensity 1000
- 38.80 deg, d 2.321, intensity 204
- 39.82 deg, d 2.264, intensity 461
- 48.71 deg, d 1.870, intensity 242
- 67.16 deg, d 1.394, intensity 219

---

Record 2
Calculated powder X-ray diffraction pattern of Ba2ZnSb2 for Cu Kα (λ = 1.5418 Å), from a DFT-relaxed cell (GGA-PBE, the Materials Project).
Lines closer than 0.1° are merged.

abc: 7.2714 14.2505 7.0607
angles: 90.00 90.00 90.00
Space group Ibam (No. 72)
Asymmetric unit:
Ba1 0.2038 0.1365 0.0000 [8 per cell]
Zn1 0.0000 0.5000 0.2500 [4 per cell]
Sb1 0.2061 0.3893 0.0000 [8 per cell]

Most intense lines, 10 to 80 degrees two-theta, by angle:
- 24.48 deg, d 3.636, intensity 559
- 24.99 deg, d 3.563, intensity 701
- 25.23 deg, d 3.530, intensity 776
- 35.27 deg, d 2.545, intensity 778
- 35.44 deg, d 2.533, intensity 842
- 35.81 deg, d 2.508, intensity 1000

---

Record 3
Calculated powder X-ray diffraction pattern of Ba3Sc4 for Cu Kα (λ = 1.5418 Å), from a DFT-relaxed cell (GGA-PBE, the Materials Project).
Lines closer than 0.1° are merged.

abc: 5.9374 5.9374 24.8485
angles: 90.00 90.00 120.00
Space group R-3m (No. 166, hexagonal axes)
Asymmetric unit:
Ba1 0.0000 0.0000 0.0000 [3 per cell]
Ba2 0.0000 0.0000 0.4247 [6 per cell]
Sc1 0.0000 0.0000 0.1538 [6 per cell]
Sc2 0.0000 0.0000 0.2798 [6 per cell]

Most intense lines, 10 to 80 degrees two-theta, by angle:
- 18.68 deg, d 4.751, intensity 263
- 24.92 deg, d 3.573, intensity 320
- 30.10 deg, d 2.969, intensity 1000
- 30.60 deg, d 2.921, intensity 901
- 43.46 deg, d 2.082, intensity 332
- 53.77 deg, d 1.705, intensity 348

---

Record 4
Calculated powder X-ray diffraction pattern of BaSe2 for Cu Kα (λ = 1.5418 Å), from a DFT-relaxed cell (GGA-PBE, the Materials Project).
Lines closer than 0.1° are merged.

abc: 9.7522 5.0269 9.4850
angles: 90.00 117.52 90.00
Space group C2/c (No. 15)
Asymmetric unit:
Ba1 0.0000 0.1278 0.2500 [4 per cell]
Se1 0.1551 0.3738 0.0260 [8 per cell]

Most intense lines, 10 to 80 degrees two-theta, by angle:
- 21.62 deg, d 4.110, intensity 359
- 25.15 deg, d 3.541, intensity 1000
- 25.83 deg, d 3.449, intensity 779
- 35.91 deg, d 2.501, intensity 402
- 37.37 deg, d 2.407, intensity 353
- 40.39 deg, d 2.233, intensity 590

---

Record 5
Calculated powder X-ray diffraction pattern of BaSe for Cu Kα (λ = 1.5418 Å), from a DFT-relaxed cell (GGA-PBE, the Materials Project).
Lines closer than 0.1° are merged.

abc: 4.0145 4.0145 4.0145
angles: 90.00 90.00 90.00
Space group Pm-3m (No. 221)
Asymmetric unit:
Ba1 0.0000 0.0000 0.0000 [1 per cell]
Se1 0.5000 0.5000 0.5000 [1 per cell]

Most intense lines, 10 to 80 degrees two-theta, by angle:
- 22.14 deg, d 4.015, intensity 71
- 31.52 deg, d 2.839, intensity 1000
- 45.17 deg, d 2.007, intensity 181
- 56.12 deg, d 1.639, intensity 380
- 65.80 deg, d 1.419, intensity 118
- 74.78 deg, d 1.270, intensity 164

---

Record 6
Calculated powder X-ray diffraction pattern of BaSe3 for Cu Kα (λ = 1.5418 Å), from a DFT-relaxed cell (GGA-PBE, the Materials Project).
Lines closer than 0.1° are merged.

abc: 7.4208 7.4208 4.2986
angles: 90.00 90.00 90.00
Space group P-42_1m (No. 113)
Asymmetric unit:
Ba1 0.0000 0.0000 0.0000 [2 per cell]
Se1 0.0000 0.5000 0.1787 [2 per cell]
Se2 0.1918 0.6918 0.4870 [4 per cell]

Most intense lines, 10 to 80 degrees two-theta, by angle:
- 23.95 deg, d 3.716, intensity 261
- 26.83 deg, d 3.323, intensity 460
- 31.86 deg, d 2.809, intensity 1000
- 34.16 deg, d 2.625, intensity 756
- 55.31 deg, d 1.661, intensity 208
- 58.21 deg, d 1.585, intensity 232

---

Record 7
Calculated powder X-ray diffraction pattern of BaSe for Cu Kα (λ = 1.5418 Å), from a DFT-relaxed cell (GGA-PBE, the Materials Project).
Lines closer than 0.1° are merged.

abc: 6.6866 6.6866 6.6866
angles: 90.00 90.00 90.00
Space group Fm-3m (No. 225)
Asymmetric unit:
Ba1 0.0000 0.0000 0.0000 [4 per cell]
Se1 0.0000 0.0000 0.5000 [4 per cell]

Most intense lines, 10 to 80 degrees two-theta, by angle:
- 26.66 deg, d 3.343, intensity 1000
- 38.06 deg, d 2.364, intensity 770
- 47.08 deg, d 1.930, intensity 277
- 54.93 deg, d 1.672, intensity 131
- 62.08 deg, d 1.495, intensity 363
- 68.78 deg, d 1.365, intensity 268

---

Record 8
Calculated powder X-ray diffraction pattern of Ba2SiSe4 for Cu Kα (λ = 1.5418 Å), from a DFT-relaxed cell (GGA-PBE, the Materials Project).
Lines closer than 0.1° are merged.

abc: 7.0703 7.1257 9.3041
angles: 90.00 108.41 90.00
Space group P2_1/m (No. 11)
Asymmetric unit:
Ba1 0.2153 0.2500 0.0444 [2 per cell]
Ba2 0.2816 0.2500 0.5729 [2 per cell]
Si1 0.2051 0.7500 0.7889 [2 per cell]
Se1 0.0028 0.5036 0.2716 [4 per cell]
Se2 0.3575 0.7500 0.0465 [2 per cell]
Se3 0.4107 0.7500 0.6402 [2 per cell]

Most intense lines, 10 to 80 degrees two-theta, by angle:
- 27.47 deg, d 3.247, intensity 834
- 27.87 deg, d 3.202, intensity 1000
- 28.36 deg, d 3.147, intensity 638
- 32.29 deg, d 2.772, intensity 877
- 32.40 deg, d 2.763, intensity 818
- 36.80 deg, d 2.442, intensity 736